For Pm4SiPb, a cell relaxed with GGA-PBE gives the computed X-ray powder pattern in this record (copper Kα).
Intensities are scaled so that the largest is 100.

Structural model:
Lattice parameters (Å, degrees): 7.5821 7.3405 7.3062 90.00 90.11 90.00
Fractional coordinates of all 12 atoms:
1 Pm 0.1483 0.1702 0.1756
2 Pm 0.1483 0.3298 0.6756
3 Pm 0.3176 0.6525 0.1456
4 Pm 0.3176 0.8475 0.6456
5 Pm 0.6824 0.1525 0.3544
6 Pm 0.6824 0.3475 0.8544
7 Pm 0.8517 0.6702 0.3244
8 Pm 0.8517 0.8298 0.8244
9 Si 0.0000 0.0000 0.5000
10 Si 0.0000 0.5000 0.0000
11 Pb 0.5000 0.0000 0.0000
12 Pb 0.5000 0.5000 0.5000

Peak list (10 most intense, 2θ = 10–90°, by intensity)
Position (°2θ)	I (rel.)
27.1	100
26.5	45
29.2	38
29.7	37
39.7	27
40.8	23
40.7	23
34.0	23
65.5	22
45.9	21

---

For Pm12Si6Pb, a cell relaxed with GGA-PBE gives the computed X-ray powder pattern in this record (copper Kα).
Intensities are scaled so that the largest is 100.

Structural model:
Lattice parameters (Å, degrees): 8.8524 8.8524 8.8524 109.47 109.47 109.47
Fractional coordinates of all 19 atoms:
1 Pm 0.1095 0.8113 0.2982
2 Pm 0.1887 0.2982 0.4868
3 Pm 0.1887 0.7018 0.8905
4 Pm 0.2982 0.1095 0.8113
5 Pm 0.2982 0.4868 0.1887
6 Pm 0.4868 0.1887 0.2982
7 Pm 0.5132 0.8113 0.7018
8 Pm 0.7018 0.5132 0.8113
9 Pm 0.7018 0.8905 0.1887
10 Pm 0.8113 0.2982 0.1095
11 Pm 0.8113 0.7018 0.5132
12 Pm 0.8905 0.1887 0.7018
13 Si 0.1143 0.6143 0.5000
14 Si 0.3857 0.5000 0.8857
15 Si 0.5000 0.1143 0.6143
16 Si 0.5000 0.8857 0.3857
17 Si 0.6143 0.5000 0.1143
18 Si 0.8857 0.3857 0.5000
19 Pb 0.0000 0.0000 0.0000

Peak list (10 most intense, 2θ = 10–90°, by intensity)
Position (°2θ)	I (rel.)
32.8	100
27.6	67
30.3	61
55.4	46
52.2	44
64.5	24
35.1	22
45.2	18
79.6	17
80.9	17